1.
RbThNb2O8: simulated powder X-ray diffraction pattern (Cu Kα, 1.54184 Å), based on the GGA-PBE geometry in Alexandria.
No peak broadening, texture or thermal motion is included.

Crystal structure
a = 6.2274 Å, b = 6.2274 Å, c = 8.0438 Å
α = 90.00°, β = 90.00°, γ = 120.00°
Space group P-3m1 (No. 164)
Inequivalent atoms, fractional coordinates:
Rb (0.0000, 0.0000, 0.0000) [1 per cell]
Th (0.0000, 0.0000, 0.5000) [1 per cell]
Nb (0.3333, 0.6667, 0.7534) [2 per cell]
O (0.1676, 0.3353, 0.6785) [6 per cell]
O (0.3333, 0.6667, 0.9827) [2 per cell]

Principal peaks in the range 15 to 90 degrees two-theta, by intensity:
index	d [Å]	two_theta	Rel. int.
0 1 1	4.479	19.82	100.0
0 1 2	3.224	27.67	95.0
1 1 0	3.114	28.67	76.6
1 0 0	5.393	16.44	50.0
0 2 2	2.240	40.27	44.5
1 2 2	1.818	50.18	37.8
1 1 4	1.689	54.31	28.9
1 2 1	1.976	45.93	21.1
3 1 2	1.402	66.72	16.5
3 0 0	1.798	50.79	15.6

---

2.
Tb3Pm4Y8: simulated powder X-ray diffraction pattern (Cu Kα, 1.54184 Å), based on the GGA-PBE geometry in Alexandria.
No peak broadening, texture or thermal motion is included.

Crystal structure
a = 7.0054 Å, b = 7.0054 Å, c = 35.5300 Å
α = 90.00°, β = 90.00°, γ = 120.00°
Space group R-3m (No. 166, hexagonal axes)
Inequivalent atoms, fractional coordinates:
Tb (0.0000, 0.5000, 0.0000) [9 per cell]
Pm (0.0000, 0.0000, 0.0000) [3 per cell]
Pm (0.0000, 0.0000, 0.1638) [6 per cell]
Pm (0.0000, 0.0000, 0.5000) [3 per cell]
Y (0.0000, 0.0000, 0.2547) [6 per cell]
Y (0.0013, 0.5007, 0.2505) [18 per cell]

Principal peaks in the range 15 to 90 degrees two-theta, by intensity:
index	d [Å]	two_theta	Rel. int.
0 2 4	2.871	31.16	100.0
2 0 8	2.505	35.85	73.8
0 0 12	2.961	30.18	64.4
2 2 12	1.507	61.52	49.7
0 2 1	3.019	29.59	48.8
2 2 0	1.751	52.23	41.8
1 1 3	3.359	26.54	32.6
0 2 16	1.792	50.97	22.2
0 2 7	2.604	34.44	21.3
1 1 9	2.620	34.22	21.2

---

3.
LiPaF6: simulated powder X-ray diffraction pattern (Cu Kα, 1.54184 Å), based on the GGA-PBE geometry in Alexandria.
No peak broadening, texture or thermal motion is included.

Crystal structure
a = 5.6419 Å, b = 5.6419 Å, c = 14.4846 Å
α = 90.00°, β = 90.00°, γ = 120.00°
Space group R-3 (No. 148, hexagonal axes)
Inequivalent atoms, fractional coordinates:
Li (0.0000, 0.0000, 0.0000) [3 per cell]
Pa (0.0000, 0.0000, 0.5000) [3 per cell]
F (0.0053, 0.5918, 0.7493) [18 per cell]

Principal peaks in the range 15 to 90 degrees two-theta, by intensity:
index	d [Å]	two_theta	Rel. int.
0 1 2	4.050	21.94	100.0
1 0 1	4.630	19.17	94.7
1 1 6	1.833	49.74	44.6
2 -1 3	2.436	36.90	43.7
0 0 3	4.828	18.38	35.1
1 0 4	2.909	30.73	26.3
0 2 4	2.025	44.75	21.1
0 1 5	2.492	36.04	21.0
0 2 1	2.409	37.32	20.8
1 1 0	2.821	31.72	19.1